(1)
Cd2TcBr8: computed powder XRD pattern (a wavelength of 1.5418 Å), based on the PBE geometry in Alexandria.

Top 10 peaks for 2θ from 10° to 90°, by angle:
6.692 Å, 13.23°, I 100
5.351 Å, 16.57°, I 34
3.574 Å, 24.92°, I 44
3.346 Å, 26.64°, I 43
2.958 Å, 30.21°, I 97
2.476 Å, 36.28°, I 43
2.199 Å, 41.04°, I 20
2.170 Å, 41.61°, I 25
2.100 Å, 43.07°, I 19
1.769 Å, 51.68°, I 22

Atomic structure:
```
11
Lattice="8.0881 -3.6765 0.0000 8.0881 3.6765 0.0000 -0.4939 0.0000 6.7009" Properties=species:S:1:pos:R:3 pbc="T T T"
Cd 2.2937 0.0000 3.0846
Cd 13.3886 0.0000 3.6163
Tc 0.0000 0.0000 0.0000
Br 1.8737 0.0000 5.7383
Br 6.8538 1.8965 5.0598
Br 8.8285 1.8965 1.6411
Br 4.7626 0.0000 2.5513
Br 10.9198 0.0000 4.1496
Br 6.8538 -1.8965 5.0598
Br 8.8285 -1.8965 1.6411
Br 13.8086 0.0000 0.9626
```

---

(2)
Pr12Y3Ho: computed powder XRD pattern (a wavelength of 1.5418 Å), based on the PBE geometry in Alexandria.

Top 10 peaks for 2θ from 10° to 90°, by angle:
3.000 Å, 29.78°, I 100
2.600 Å, 34.49°, I 34
2.593 Å, 34.59°, I 17
1.837 Å, 49.63°, I 36
1.568 Å, 58.91°, I 29
1.564 Å, 59.05°, I 14
1.500 Å, 61.86°, I 12
1.193 Å, 80.51°, I 6
1.192 Å, 80.63°, I 12
1.163 Å, 83.07°, I 11

Atomic structure:
```
16
Lattice="5.2010 0.0000 0.0000 0.0000 5.2010 0.0000 0.0000 0.0000 20.7425" Properties=species:S:1:pos:R:3 pbc="T T T"
Pr 0.0000 0.0000 0.0000
Pr 0.0000 0.0000 5.1725
Pr 0.0000 0.0000 10.3713
Pr 0.0000 0.0000 15.5700
Pr 0.0000 2.6005 2.5781
Pr 0.0000 2.6005 7.7717
Pr 0.0000 2.6005 12.9709
Pr 0.0000 2.6005 18.1644
Pr 2.6005 0.0000 2.5781
Pr 2.6005 0.0000 7.7717
Pr 2.6005 0.0000 12.9709
Pr 2.6005 0.0000 18.1644
Y 2.6005 2.6005 5.1759
Y 2.6005 2.6005 10.3713
Y 2.6005 2.6005 15.5667
Ho 2.6005 2.6005 0.0000
```